The following is a theoretical powder diffraction line list of SrMgBeAu6. It was derived from a structure optimized by DFT (GGA-PBE), using Cu Kα.

Structural model:
a = 13.2323 Å, b = 7.2423 Å, c = 9.5122 Å
α = 90.00°, β = 125.54°, γ = 90.00°
Space group C2/m (No. 12)
Unique sites:
1 Sr 0.2460 0.0000 0.4893 x4
2 Mg 0.2500 0.2500 0.0000 x4
3 Be 0.0000 0.0000 0.0000 x2
4 Be 0.0000 0.0000 0.5000 x2
5 Au 0.0485 0.0000 0.8027 x4
6 Au 0.0532 0.5000 0.8278 x4
7 Au 0.1207 0.2679 0.6435 x8
8 Au 0.1218 0.2745 0.1482 x8

Main lines, by angle (2θ = 10–80°):
31.21°, I = 100
35.58°, I = 22
37.00°, I = 14
38.39°, I = 27
41.37°, I = 22
41.81°, I = 30
43.73°, I = 12
46.91°, I = 12
50.40°, I = 14
65.10°, I = 12